Structure and simulated X-ray powder pattern of Li2MnVP3O12 (a PBE+U-relaxed structure; CuKα).
Kinematic intensities with the Lorentz-polarization factor, no thermal factor.

The 6 most intense peaks (15 to 90 degrees two-theta), low angle first:
d/Å  2θ/deg  I_rel
4.535  19.57  73
4.434  20.03  70
4.393  20.21  66
3.758  23.67  80
3.650  24.38  100
2.790  32.08  79

Cell and atoms:
```
data_Li2MnVP3O12
_chemical_formula_sum 'Li4 Mn2 V2 P6 O24'
_symmetry_space_group_name_H-M 'P 1'
_symmetry_Int_Tables_number 1
_cell_length_a 8.346
_cell_length_b 8.361
_cell_length_c 8.835
_cell_angle_alpha 62.23
_cell_angle_beta 63.82
_cell_angle_gamma 61.63
loop_
_symmetry_equiv_pos_as_xyz
'x,y,z'
loop_
_atom_site_label
_atom_site_fract_x
_atom_site_fract_y
_atom_site_fract_z
_atom_site_occupancy
Li1 0.000 0.000 0.000 1
Li2 0.061 0.410 0.691 1
Li3 0.465 0.654 0.691 1
Li4 0.805 0.070 0.698 1
Mn1 0.077 0.688 0.782 1
Mn2 0.387 0.978 0.890 1
V1 0.584 0.197 0.262 1
V2 0.878 0.481 0.392 1
P1 0.193 0.084 0.586 1
P2 0.271 0.584 0.081 1
P3 0.486 0.362 0.582 1
P4 0.688 0.880 0.087 1
P5 0.766 0.799 0.576 1
P6 0.980 0.303 0.078 1
O1 0.113 0.529 0.248 1
O2 0.179 0.161 0.051 1
O3 0.191 0.113 0.751 1
O4 0.220 0.873 0.627 1
O5 0.242 0.796 0.042 1
O6 0.262 0.565 0.916 1
O7 0.279 0.489 0.620 1
O8 0.346 0.145 0.422 1
O9 0.468 0.448 0.104 1
O10 0.528 0.162 0.732 1
O11 0.554 0.323 0.404 1
O12 0.556 0.845 0.038 1
O13 0.574 0.798 0.715 1
O14 0.594 0.075 0.124 1
O15 0.619 0.454 0.566 1
O16 0.729 0.719 0.260 1
O17 0.746 0.954 0.396 1
O18 0.839 0.220 0.095 1
O19 0.869 0.594 0.550 1
O20 0.874 0.895 0.934 1
O21 0.897 0.830 0.635 1
O22 0.912 0.354 0.251 1
O23 0.956 0.494 0.915 1
O24 0.990 0.217 0.563 1
```